The following is a theoretical X-ray diffraction stick pattern of Li3MnVP3O12. It was derived from a structure optimized by DFT (PBE+U), using CuKα.
Peak positions follow from Bragg's law for the DFT cell and can differ from measured ones.

Top 10 peaks for 10 to 90 degrees two-theta, by intensity:
Position (°2θ), I_rel
23.8, 100
23.7, 97
21.0, 94
24.4, 90
28.7, 58
14.3, 49
35.0, 49
20.2, 45
20.5, 43
32.6, 40

Cell and atoms:
```
Li3MnVP3O12
1.0
7.209 -4.459 0.000
7.209 4.459 0.000
-4.831 0.000 7.206
Li Mn V P O
6 2 2 6 24
Cartesian
-1.616 1.132 6.534
0.782 0.000 2.934
0.009 -1.644 5.397
11.203 1.132 0.672
8.805 0.000 4.272
9.578 -1.644 1.809
2.734 -1.647 4.321
6.853 -1.647 2.885
5.128 2.760 0.763
4.458 2.760 6.443
1.571 1.465 5.152
4.026 -0.325 1.540
8.016 1.465 2.054
5.561 -0.325 5.666
7.209 -3.468 0.000
4.793 -4.404 3.603
4.345 3.632 2.394
1.353 2.243 3.780
-3.597 0.127 6.838
0.527 1.852 6.216
5.242 3.632 4.812
3.885 1.190 1.233
2.966 1.871 5.577
1.358 -0.036 4.864
6.620 1.871 1.629
3.795 -1.067 0.177
2.938 -0.634 2.594
9.060 1.852 0.990
8.234 2.243 3.426
5.701 1.190 5.973
5.418 -0.758 2.002
4.169 -0.758 5.204
8.229 -0.036 2.342
1.910 -2.609 5.988
6.649 -0.634 4.612
3.550 -3.564 3.960
5.791 -1.067 7.029
7.676 -2.609 1.218
13.184 0.127 0.368
6.036 -3.564 3.246
```